No. 1
Calculated X-ray powder pattern of TbGd2Sn3Pt3 for Cu Kα (λ = 1.5418 Å), from a PBE-relaxed structure.
Lines closer than 0.1° are merged.

Main lines, in order of rising 2θ (10° ≤ 2θ ≤ 80°):
(hkl)	Position (°2θ)	I (rel.)
1 3 1	32.5	81
1 4 0	35.3	100
0 1 3	36.3	33
0 6 0	41.4	47
1 4 2	42.9	40
2 0 0	44.9	28
2 1 3	59.1	17
2 6 0	62.7	28
1 7 3	66.5	35
3 4 0	76.5	22

Structure:
Lattice parameters (Å, degrees): 4.0397 13.0732 7.5538 90.00 90.00 90.00
Space group Amm2 (No. 38)
Asymmetric unit:
Tb 0.0000 0.0000 0.0000
Gd 0.0000 0.2034 0.3900
Sn 0.5000 0.0000 0.3356
Sn 0.5000 0.1287 0.7224
Pt 0.0000 0.0000 0.5938
Pt 0.5000 0.1663 0.0932

***

No. 2
Calculated X-ray powder pattern of GdTl4Pt2 for Cu Kα (λ = 1.5418 Å), from a PBE-relaxed structure.
Lines closer than 0.1° are merged.

Main lines, in order of rising 2θ (10° ≤ 2θ ≤ 80°):
(hkl)	Position (°2θ)	I (rel.)
2 0 1	32.3	100
0 4 0	32.5	47
3 1 0	34.6	11
1 3 1	35.6	32
3 3 0	41.8	20
4 0 0	45.3	12
2 4 1	46.5	58
0 0 2	47.4	21
0 4 2	58.7	18
3 3 2	65.1	20

Structure:
Lattice parameters (Å, degrees): 8.0017 11.0330 3.8333 90.00 90.00 90.00
Space group Cmmm (No. 65)
Asymmetric unit:
Gd 0.0000 0.0000 0.0000
Tl 0.0000 0.2851 0.0000
Tl 0.1873 0.5000 0.5000
Pt 0.2500 0.2500 0.5000

***

No. 3
Calculated X-ray powder pattern of GdPuTc for Cu Kα (λ = 1.5418 Å), from a PBE-relaxed structure.
Lines closer than 0.1° are merged.

Main lines, in order of rising 2θ (10° ≤ 2θ ≤ 80°):
(hkl)	Position (°2θ)	I (rel.)
1 1 1	23.3	57
2 2 0	38.5	100
3 1 1	45.4	31
4 0 0	55.5	17
3 3 1	61.0	13
4 2 2	69.6	36
5 1 1	74.5	10

Structure:
Lattice parameters (Å, degrees): 6.6206 6.6206 6.6206 90.00 90.00 90.00
Space group F-43m (No. 216)
Asymmetric unit:
Gd 0.0000 0.0000 0.0000
Pu 0.2500 0.2500 0.2500
Tc 0.0000 0.0000 0.5000